No. 1
This entry pairs a crystal structure of NaHg8Au2 with its computed X-ray diffraction stick pattern. Radiation: Cu Kα (λ = 1.5418 Å). Structure: DFT lattice parameters and positions (GGA-PBE).

Cell and atoms:
Unit cell a=5.661 b=7.260 c=7.559 alpha=80.85 beta=70.72 gamma=74.57
Space group P-1 (No. 2)
Unique sites:
Na  0.000  0.000  0.000 (multiplicity 1)
Hg  0.119  0.174  0.529 (multiplicity 2)
Hg  0.139  0.537  0.166 (multiplicity 2)
Hg  0.306  0.703  0.696 (multiplicity 2)
Hg  0.486  0.263  0.734 (multiplicity 2)
Au  0.403  0.139  0.131 (multiplicity 2)

Most intense lines, 2θ = 15–90°, by angle:
2θ = 25.5°, rel. 18, (0 2 0)
2θ = 29.4°, rel. 18, (0 2 -1)
2θ = 31.9°, rel. 100, (2 1 1)
2θ = 34.1°, rel. 44, (1 -2 0)
2θ = 34.6°, rel. 47, (1 0 -2)
2θ = 36.4°, rel. 44, (1 1 3)
2θ = 37.5°, rel. 33, (0 2 -2)
2θ = 38.0°, rel. 48, (1 3 1)
2θ = 40.7°, rel. 20, (1 2 3)
2θ = 41.7°, rel. 19, (2 -1 2)

No. 2
This entry pairs a crystal structure of DyTm3Tl2 with its computed X-ray diffraction stick pattern. Radiation: Cu Kα (λ = 1.5418 Å). Structure: DFT lattice parameters and positions (GGA-PBE).

Cell and atoms:
Unit cell a=5.030 b=9.857 c=6.786 alpha=90.00 beta=90.00 gamma=90.00
Space group Pmc2_1 (No. 26)
Unique sites:
Dy  0.000  0.043  0.000 (multiplicity 2)
Tm  0.000  0.313  0.620 (multiplicity 2)
Tm  0.500  0.191  0.284 (multiplicity 2)
Tm  0.500  0.457  0.905 (multiplicity 2)
Tl  0.000  0.368  0.160 (multiplicity 2)
Tl  0.500  0.133  0.743 (multiplicity 2)

Most intense lines, 2θ = 15–90°, by angle:
2θ = 30.2°, rel. 21, (0 3 1)
2θ = 31.8°, rel. 66, (1 0 2)
2θ = 32.0°, rel. 22, (0 2 2)
2θ = 32.6°, rel. 100, (1 3 0)
2θ = 33.1°, rel. 83, (1 1 2)
2θ = 35.2°, rel. 40, (1 3 1)
2θ = 35.7°, rel. 61, (2 0 0)
2θ = 38.1°, rel. 27, (0 3 2)
2θ = 53.2°, rel. 21, (2 3 2)
2θ = 69.8°, rel. 22, (2 6 1)

No. 3
This entry pairs a crystal structure of Sb7O6F9 with its computed X-ray diffraction stick pattern. Radiation: Cu Kα (λ = 1.5418 Å). Structure: DFT lattice parameters and positions (GGA-PBE).

Cell and atoms:
Unit cell a=5.693 b=44.944 c=6.087 alpha=90.00 beta=90.00 gamma=90.00
Space group Aem2 (No. 39)
Unique sites:
Sb  0.189  0.106  0.000 (multiplicity 8)
Sb  0.201  0.175  0.263 (multiplicity 8)
Sb  0.229  0.250  0.884 (multiplicity 4)
Sb  0.249  0.026  0.318 (multiplicity 8)
O  0.000  0.000  0.183 (multiplicity 4)
O  0.039  0.148  0.041 (multiplicity 8)
O  0.059  0.092  0.289 (multiplicity 8)
O  0.500  0.000  0.189 (multiplicity 4)
F  0.114  0.221  0.652 (multiplicity 8)
F  0.266  0.046  0.018 (multiplicity 8)
F  0.360  0.197  0.001 (multiplicity 8)
F  0.452  0.250  0.258 (multiplicity 4)
F  0.454  0.145  0.268 (multiplicity 8)

Most intense lines, 2θ = 15–90°, by angle:
2θ = 21.5°, rel. 32, (1 1 1)
2θ = 22.2°, rel. 16, (1 3 1)
2θ = 25.5°, rel. 100, (1 7 1)
2θ = 27.8°, rel. 24, (0 14 0)
2θ = 31.4°, rel. 15, (2 0 0)
2θ = 31.7°, rel. 15, (0 6 2)
2θ = 33.7°, rel. 18, (1 13 1)
2θ = 42.4°, rel. 18, (2 14 0)
2θ = 47.8°, rel. 12, (1 21 1)
2θ = 52.5°, rel. 13, (3 7 1)

No. 4
This entry pairs a crystal structure of Ca2CrTcN4 with its computed X-ray diffraction stick pattern. Radiation: Cu Kα (λ = 1.5418 Å). Structure: DFT lattice parameters and positions (GGA-PBE).

Cell and atoms:
Unit cell a=5.541 b=6.802 c=5.810 alpha=90.00 beta=90.00 gamma=90.00
Space group Pmmn (No. 59, origin choice 2)
Unique sites:
Ca  0.250  0.000  0.238 (multiplicity 4)
Cr  0.250  0.250  0.793 (multiplicity 2)
Tc  0.250  0.750  0.783 (multiplicity 2)
N  0.005  0.250  0.996 (multiplicity 4)
N  0.250  0.010  0.647 (multiplicity 4)

Most intense lines, 2θ = 15–90°, by angle:
2θ = 15.3°, rel. 12, (0 0 1)
2θ = 22.2°, rel. 28, (1 0 1)
2θ = 30.8°, rel. 31, (0 0 2)
2θ = 32.3°, rel. 38, (2 0 0)
2θ = 34.6°, rel. 100, (1 2 1)
2θ = 45.2°, rel. 32, (2 0 2)
2θ = 53.9°, rel. 13, (0 4 0)
2θ = 57.2°, rel. 21, (1 2 3)
2θ = 59.1°, rel. 23, (3 2 1)
2θ = 72.9°, rel. 13, (2 4 2)